The following is a theoretical XRD peak list of Cs3KAs2Au2. It was derived from a DFT-relaxed cell (PBE, OQMD), using λ = 1.5418 Å (Cu Kα).

Atomic structure:
Cell: 6.7027 6.8604 6.7662 Å, 90.00 108.72 90.00°
Space group Pm (No. 6)
One atom of each set of equivalent atoms:
Cs1 0.0000 0.0000 0.0000 (multiplicity 1)
Cs2 0.0418 0.5000 0.3516 (multiplicity 1)
Cs3 0.3470 0.0000 0.6600 (multiplicity 1)
K1 0.6922 0.5000 0.6848 (multiplicity 1)
As1 0.3019 0.5000 0.9310 (multiplicity 1)
As2 0.7597 0.0000 0.4194 (multiplicity 1)
Au1 0.5233 0.2506 0.1827 (multiplicity 2)

Principal peaks in the range 2θ from 10° to 90°, by angle:
- 2θ 13.82, I = 67
- 2θ 27.05, I = 59
- 2θ 29.58, I = 100
- 2θ 29.89, I = 52
- 2θ 30.77, I = 53
- 2θ 34.74, I = 63

The following is a theoretical XRD peak list of TmSc3Pb2C2. It was derived from a DFT-relaxed cell (PBE, OQMD), using λ = 1.5418 Å (Cu Kα).

Atomic structure:
Cell: 3.4497 3.4497 15.3164 Å, 90.00 90.00 120.00°
Space group P3m1 (No. 156)
One atom of each set of equivalent atoms:
Tm1 0.0000 0.0000 0.0000 (multiplicity 1)
Sc1 0.0000 0.0000 0.6575 (multiplicity 1)
Sc2 0.6667 0.3333 0.1640 (multiplicity 1)
Sc3 0.6667 0.3333 0.5024 (multiplicity 1)
Pb1 0.0000 0.0000 0.3333 (multiplicity 1)
Pb2 0.6667 0.3333 0.8241 (multiplicity 1)
C1 0.3333 0.6667 0.0864 (multiplicity 1)
C2 0.3333 0.6667 0.5801 (multiplicity 1)

Principal peaks in the range 2θ from 10° to 90°, by angle:
- 2θ 11.56, I = 29
- 2θ 29.91, I = 24
- 2θ 30.49, I = 24
- 2θ 34.79, I = 100
- 2θ 53.10, I = 21
- 2θ 65.29, I = 20

The following is a theoretical XRD peak list of B3W3N7. It was derived from a DFT-relaxed cell (PBE, OQMD), using λ = 1.5418 Å (Cu Kα).

Atomic structure:
Cell: 3.0815 3.0815 29.9180 Å, 90.00 90.00 120.00°
Space group P6_3mc (No. 186)
One atom of each set of equivalent atoms:
B1 0.0000 0.0000 0.0000 (multiplicity 2)
B2 0.3333 0.6667 0.2494 (multiplicity 2)
B3 0.3333 0.6667 0.9313 (multiplicity 2)
W1 0.0000 0.0000 0.1650 (multiplicity 2)
W2 0.0000 0.0000 0.3414 (multiplicity 2)
W3 0.3333 0.6667 0.0915 (multiplicity 2)
N1 0.0000 0.0000 0.0884 (multiplicity 2)
N2 0.0000 0.0000 0.2423 (multiplicity 2)
N3 0.0000 0.0000 0.4490 (multiplicity 2)
N4 0.3333 0.6667 0.0174 (multiplicity 2)
N5 0.3333 0.6667 0.1947 (multiplicity 2)
N6 0.3333 0.6667 0.3047 (multiplicity 2)
N7 0.3333 0.6667 0.8813 (multiplicity 2)

Principal peaks in the range 2θ from 10° to 90°, by angle:
- 2θ 11.83, I = 100
- 2θ 33.58, I = 21
- 2θ 36.02, I = 20
- 2θ 38.25, I = 63
- 2θ 45.55, I = 28
- 2θ 60.05, I = 20

The following is a theoretical XRD peak list of OsOF2. It was derived from a DFT-relaxed cell (PBE, OQMD), using λ = 1.5418 Å (Cu Kα).

Atomic structure:
Cell: 12.9396 13.3267 3.1776 Å, 90.00 90.00 90.00°
Space group Pbam (No. 55)
One atom of each set of equivalent atoms:
Os1 0.0934 0.2424 0.0000 (multiplicity 4)
Os2 0.1528 0.8842 0.5000 (multiplicity 4)
Os3 0.1586 0.5227 0.0000 (multiplicity 4)
O1 0.1673 0.2609 0.5000 (multiplicity 4)
O2 0.2174 0.8433 0.0000 (multiplicity 4)
O3 0.2344 0.4812 0.5000 (multiplicity 4)
F1 0.0236 0.7767 0.5000 (multiplicity 4)
F2 0.0654 0.9317 0.0000 (multiplicity 4)
F3 0.0703 0.3945 0.0000 (multiplicity 4)
F4 0.0706 0.5657 0.5000 (multiplicity 4)
F5 0.1142 0.1020 0.0000 (multiplicity 4)
F6 0.1982 0.6590 0.0000 (multiplicity 4)

Principal peaks in the range 2θ from 10° to 90°, by angle:
- 2θ 24.30, I = 100
- 2θ 27.57, I = 36
- 2θ 28.85, I = 30
- 2θ 32.09, I = 44
- 2θ 35.74, I = 46
- 2θ 39.18, I = 33

The following is a theoretical XRD peak list of DyYPd6. It was derived from a DFT-relaxed cell (PBE, OQMD), using λ = 1.5418 Å (Cu Kα).

Atomic structure:
Cell: 4.1160 4.1160 8.2305 Å, 90.00 90.00 90.00°
Space group P4/mmm (No. 123)
One atom of each set of equivalent atoms:
Dy1 0.0000 0.0000 0.0000 (multiplicity 1)
Y1 0.0000 0.0000 0.5000 (multiplicity 1)
Pd1 0.0000 0.5000 0.2488 (multiplicity 4)
Pd2 0.5000 0.5000 0.0000 (multiplicity 1)
Pd3 0.5000 0.5000 0.5000 (multiplicity 1)

Principal peaks in the range 2θ from 10° to 90°, by angle:
- 2θ 10.75, I = 3
- 2θ 37.86, I = 100
- 2θ 44.00, I = 49
- 2θ 63.98, I = 31
- 2θ 76.81, I = 37
- 2θ 80.91, I = 11

The following is a theoretical XRD peak list of KNb3Te5. It was derived from a DFT-relaxed cell (PBE, OQMD), using λ = 1.5418 Å (Cu Kα).

Atomic structure:
Cell: 6.0323 6.0323 8.6061 Å, 90.00 90.00 120.00°
Space group P6/mmm (No. 191)
One atom of each set of equivalent atoms:
K1 0.0000 0.0000 0.0000 (multiplicity 1)
Nb1 0.0000 0.5000 0.5000 (multiplicity 3)
Te1 0.0000 0.0000 0.5000 (multiplicity 1)
Te2 0.3333 0.6667 0.2377 (multiplicity 4)

Principal peaks in the range 2θ from 10° to 90°, by angle:
- 2θ 10.28, I = 100
- 2θ 26.84, I = 59
- 2θ 29.62, I = 73
- 2θ 35.93, I = 42
- 2θ 36.38, I = 47
- 2θ 40.40, I = 95

The following is a theoretical XRD peak list of Na2Te3Ir2Se. It was derived from a DFT-relaxed cell (PBE, OQMD), using λ = 1.5418 Å (Cu Kα).

Atomic structure:
Cell: 10.7652 7.4922 7.1003 Å, 90.00 131.20 90.00°
Space group C2 (No. 5)
One atom of each set of equivalent atoms:
Na1 0.2404 0.0000 0.1298 (multiplicity 4)
Te1 0.0000 0.8519 0.5000 (multiplicity 2)
Te2 0.0833 0.2723 0.3300 (multiplicity 4)
Ir1 0.2440 0.5301 0.3401 (multiplicity 4)
Se1 0.0000 0.6854 0.0000 (multiplicity 2)

Principal peaks in the range 2θ from 10° to 90°, by angle:
- 2θ 16.60, I = 62
- 2θ 17.21, I = 85
- 2θ 28.02, I = 30
- 2θ 29.96, I = 100
- 2θ 32.56, I = 54
- 2θ 44.49, I = 30

The following is a theoretical XRD peak list of AlAu6I. It was derived from a DFT-relaxed cell (PBE, OQMD), using λ = 1.5418 Å (Cu Kα).

Atomic structure:
Cell: 9.0928 9.0928 9.0928 Å, 90.00 90.00 90.00°
Space group F-43m (No. 216)
One atom of each set of equivalent atoms:
Al1 0.0000 0.0000 0.0000 (multiplicity 4)
Au1 0.0000 0.0000 0.2749 (multiplicity 24)
I1 0.2500 0.2500 0.2500 (multiplicity 4)

Principal peaks in the range 2θ from 10° to 90°, by angle:
- 2θ 19.53, I = 19
- 2θ 34.16, I = 100
- 2θ 39.65, I = 53
- 2θ 52.28, I = 16
- 2θ 57.32, I = 32
- 2θ 68.44, I = 32

What is the formula in the sixth record? KNb3Te5